Computed powder diffraction line list
Compound: Ti3NiBi2Pb2O12
Radiation: copper Kα
Structure: a structure optimized by DFT (GGA+U)
Neutral-atom scattering factors, no anomalous dispersion.

Most intense lines, 10° ≤ 2θ ≤ 90°, in order of falling intensity:
d (Å)	I (rel.)	(hkl)
2.834	100	1 1 3
2.850	69	1 2 0
2.970	38	1 0 -2
4.131	33	0 1 1
4.099	32	1 1 -1
2.306	27	2 2 2
3.918	22	1 0 2
2.050	18	2 2 -2
2.065	17	0 2 2
1.959	16	2 0 4

Cell and atoms:
```
Ti3NiBi2Pb2O12
1.0
5.675 0.000 0.000
2.836 4.950 0.000
2.316 -1.292 9.452
Ti Ni Bi Pb O
3 1 2 2 12
direct
0.000 0.000 0.000
0.037 0.484 0.495
0.523 0.741 0.249
0.549 0.225 0.727
0.219 0.883 0.664
0.669 0.669 0.884
0.234 0.386 0.136
0.747 0.133 0.390
0.314 0.593 0.336
0.319 0.091 0.338
0.329 0.059 0.837
0.330 0.834 0.084
0.335 0.344 0.579
0.335 0.605 0.837
0.809 0.346 0.091
0.811 0.838 0.093
0.821 0.586 0.341
0.839 0.071 0.841
0.840 0.832 0.595
0.847 0.325 0.596
```